Entry 1:
Diffraction record for Nd8Sm6Pu. The PXRD pattern is calculated, not measured: it uses a cell relaxed with GGA-PBE and a wavelength of 1.5418 Å.
Kinematic intensities with the Lorentz-polarization factor, no thermal factor.

Atomic structure:
Lattice parameters (Å, degrees): 8.840 8.840 8.840 64.98 64.98 64.98
Element x y z (fractional)
Nd  0.128  0.414  0.833
Nd  0.167  0.872  0.586
Nd  0.244  0.244  0.244
Nd  0.414  0.833  0.128
Nd  0.586  0.167  0.872
Nd  0.756  0.756  0.756
Nd  0.833  0.128  0.414
Nd  0.872  0.586  0.167
Sm  0.088  0.662  0.364
Sm  0.338  0.636  0.912
Sm  0.364  0.088  0.662
Sm  0.636  0.912  0.338
Sm  0.662  0.364  0.088
Sm  0.912  0.338  0.636
Pu  0.000  0.000  0.000

Peak list (12 most intense, 10 to 90 degrees two-theta, in order of rising 2θ)
d (Å)	2θ/deg	I/Imax
7.649	11.57	15
3.226	27.65	34
2.978	30.00	32
2.800	31.96	100
2.742	32.66	84
2.668	33.59	28
1.959	46.35	19
1.774	51.52	19
1.715	53.43	14
1.628	56.52	17
1.613	57.11	15
1.594	57.85	14

***

Entry 2:
Diffraction record for NaNdAl. The PXRD pattern is calculated, not measured: it uses a cell relaxed with GGA-PBE and a wavelength of 1.5418 Å.
Kinematic intensities with the Lorentz-polarization factor, no thermal factor.

Atomic structure:
Lattice parameters (Å, degrees): 7.860 6.297 6.201 77.93 51.58 50.49
Element x y z (fractional)
Na  0.157  0.843  0.157
Na  0.843  0.157  0.843
Nd  0.330  0.330  0.670
Nd  0.670  0.670  0.330
Al  0.250  0.250  0.250
Al  0.750  0.750  0.750

Peak list (12 most intense, 10 to 90 degrees two-theta, in order of rising 2θ)
d (Å)	2θ/deg	I/Imax
5.611	15.79	30
5.504	16.10	49
4.622	19.20	37
3.011	29.67	100
2.977	30.02	35
2.858	31.30	18
2.752	32.54	19
2.536	35.39	33
2.381	37.78	30
2.311	38.97	25
1.801	50.70	20
1.678	54.71	18

***

Entry 3:
Diffraction record for Tb8Y5In. The PXRD pattern is calculated, not measured: it uses a cell relaxed with GGA-PBE and a wavelength of 1.5418 Å.
Kinematic intensities with the Lorentz-polarization factor, no thermal factor.

Atomic structure:
Lattice parameters (Å, degrees): 8.427 8.427 8.427 110.01 110.01 108.40
Element x y z (fractional)
Tb  0.090  0.685  0.777
Tb  0.165  0.269  0.764
Tb  0.315  0.092  0.405
Tb  0.505  0.401  0.236
Tb  0.599  0.835  0.104
Tb  0.688  0.910  0.595
Tb  0.731  0.495  0.896
Tb  0.908  0.312  0.223
Y  0.232  0.629  0.191
Y  0.371  0.562  0.604
Y  0.438  0.041  0.809
Y  0.750  0.250  0.500
Y  0.959  0.768  0.396
In  0.000  0.000  0.000

Peak list (12 most intense, 10 to 90 degrees two-theta, in order of rising 2θ)
d (Å)	2θ/deg	I/Imax
3.959	22.46	23
3.111	28.69	50
3.059	29.19	100
2.808	31.86	15
2.616	34.28	59
2.598	34.53	43
2.587	34.68	37
1.979	45.84	16
1.897	47.97	17
1.666	55.12	13
1.447	64.37	13
1.126	86.39	13